1.
Starting from DFT lattice parameters and positions (GGA-PBE), the X-ray powder pattern of HgI was calculated for Cu Kα (weighted mean of Kα1 and Kα2).

Crystal structure
```
data_HgI
_chemical_formula_sum 'Hg4 I4'
_cell_length_a 5.1905
_cell_length_b 5.1905
_cell_length_c 11.8083
_cell_angle_alpha 90.00
_cell_angle_beta 90.00
_cell_angle_gamma 90.00
_symmetry_space_group_name_H-M 'P 1'
_symmetry_Int_Tables_number 1
loop_
_symmetry_equiv_pos_as_xyz
'x,y,z'
loop_
_atom_site_label
_atom_site_type_symbol
_atom_site_fract_x
_atom_site_fract_y
_atom_site_fract_z
Hg1 Hg 0.0000 0.0000 0.1130
Hg2 Hg 0.0000 0.0000 0.8870
Hg3 Hg 0.5000 0.5000 0.3870
Hg4 Hg 0.5000 0.5000 0.6130
I1 I 0.0000 0.0000 0.3475
I2 I 0.0000 0.0000 0.6525
I3 I 0.5000 0.5000 0.1525
I4 I 0.5000 0.5000 0.8475
```

Most intense lines, 15 to 90 degrees two-theta, in order of falling intensity:
24.2°, rel. 100
39.2°, rel. 45
34.6°, rel. 41
46.6°, rel. 28
30.3°, rel. 22
18.7°, rel. 21
65.0°, rel. 21
56.0°, rel. 20
42.0°, rel. 17
55.5°, rel. 15

2.
Starting from DFT lattice parameters and positions (GGA-PBE), the X-ray powder pattern of Cs2YAgF6 was calculated for Cu Kα (weighted mean of Kα1 and Kα2).

Crystal structure
```
data_Cs2YAgF6
_chemical_formula_sum 'Cs2 Y1 Ag1 F6'
_cell_length_a 6.6540
_cell_length_b 6.6540
_cell_length_c 6.6540
_cell_angle_alpha 60.00
_cell_angle_beta 60.00
_cell_angle_gamma 60.00
_symmetry_space_group_name_H-M 'P 1'
_symmetry_Int_Tables_number 1
loop_
_symmetry_equiv_pos_as_xyz
'x,y,z'
loop_
_atom_site_label
_atom_site_type_symbol
_atom_site_fract_x
_atom_site_fract_y
_atom_site_fract_z
Cs1 Cs 0.2500 0.2500 0.2500
Cs2 Cs 0.7500 0.7500 0.7500
Y1 Y 0.0000 0.0000 0.0000
Ag1 Ag 0.5000 0.5000 0.5000
F1 F 0.2333 0.2333 0.7667
F2 F 0.2333 0.7667 0.2333
F3 F 0.2333 0.7667 0.7667
F4 F 0.7667 0.2333 0.2333
F5 F 0.7667 0.2333 0.7667
F6 F 0.7667 0.7667 0.2333
```

Most intense lines, 15 to 90 degrees two-theta, in order of falling intensity:
26.8°, rel. 100
47.3°, rel. 41
38.3°, rel. 35
55.2°, rel. 23
75.6°, rel. 21
62.4°, rel. 19
88.1°, rel. 11
69.2°, rel. 7
33.0°, rel. 6
81.9°, rel. 3